(1)
This entry pairs a crystal structure of Ni7As with its theoretical powder diffractogram. Radiation: a wavelength of 1.5418 Å. Structure: a DFT-relaxed cell (GGA-PBE, OQMD).
Lines closer than 0.1° are merged.

Most intense lines, 2θ from 15° to 90°, most intense first:
| 2θ/deg | I (rel.) |
| --- | --- |
| 44.29 | 100 |
| 44.15 | 76 |
| 50.94 | 41 |
| 46.71 | 39 |
| 52.76 | 32 |
| 53.09 | 27 |

Structural model:
```
data_Ni7As
_chemical_formula_sum 'Ni14 As2'
_cell_length_a 2.5425
_cell_length_b 3.4718
_cell_length_c 32.8689
_cell_angle_alpha 90.00
_cell_angle_beta 90.00
_cell_angle_gamma 90.00
_symmetry_space_group_name_H-M 'P 1'
_symmetry_Int_Tables_number 1
_symmetry_space_group_name_Hall 'P 1'
loop_
_atom_site_label
_atom_site_fract_x
_atom_site_fract_y
_atom_site_fract_z
_atom_site_occupancy
Ni1 0.2500 0.2500 0.0187 1
Ni2 0.2500 0.2500 0.0930 1
Ni3 0.2500 0.2500 0.1677 1
Ni4 0.2500 0.2500 0.2446 1
Ni5 0.2500 0.2500 0.7950 1
Ni6 0.2500 0.2500 0.8696 1
Ni7 0.2500 0.2500 0.9443 1
Ni8 0.7500 0.7500 0.0557 1
Ni9 0.7500 0.7500 0.1304 1
Ni10 0.7500 0.7500 0.2050 1
Ni11 0.7500 0.7500 0.7554 1
Ni12 0.7500 0.7500 0.8323 1
Ni13 0.7500 0.7500 0.9070 1
Ni14 0.7500 0.7500 0.9813 1
As1 0.2500 0.2500 0.7195 1
As2 0.7500 0.7500 0.2805 1
```

***

(2)
This entry pairs a crystal structure of Ni7As with its theoretical powder diffractogram. Radiation: a wavelength of 1.5418 Å. Structure: a DFT-relaxed cell (GGA-PBE, OQMD).
Lines closer than 0.1° are merged.

Most intense lines, 2θ from 15° to 90°, most intense first:
| 2θ/deg | I (rel.) |
| --- | --- |
| 44.90 | 100 |
| 43.39 | 44 |
| 49.71 | 41 |
| 89.91 | 24 |
| 77.04 | 13 |
| 72.94 | 13 |

Structural model:
```
data_Ni7As
_chemical_formula_sum 'Ni14 As2'
_cell_length_a 2.5937
_cell_length_b 2.5937
_cell_length_c 38.5818
_cell_angle_alpha 90.00
_cell_angle_beta 90.00
_cell_angle_gamma 90.00
_symmetry_space_group_name_H-M 'P 1'
_symmetry_Int_Tables_number 1
_symmetry_space_group_name_Hall 'P 1'
loop_
_atom_site_label
_atom_site_fract_x
_atom_site_fract_y
_atom_site_fract_z
_atom_site_occupancy
Ni1 0.2500 0.2500 0.0212 1
Ni2 0.2500 0.2500 0.1059 1
Ni3 0.2500 0.2500 0.1904 1
Ni4 0.2500 0.2500 0.2771 1
Ni5 0.2500 0.2500 0.7675 1
Ni6 0.2500 0.2500 0.8518 1
Ni7 0.2500 0.2500 0.9364 1
Ni8 0.7500 0.7500 0.0636 1
Ni9 0.7500 0.7500 0.1482 1
Ni10 0.7500 0.7500 0.2325 1
Ni11 0.7500 0.7500 0.7229 1
Ni12 0.7500 0.7500 0.8096 1
Ni13 0.7500 0.7500 0.8941 1
Ni14 0.7500 0.7500 0.9788 1
As1 0.2500 0.2500 0.6795 1
As2 0.7500 0.7500 0.3205 1
```